No. 1
The following is a calculated powder X-ray diffraction pattern of KPmCd10. It was derived from a DFT-relaxed cell (GGA-PBE, Alexandria), using copper Kα.
Intensities are scaled so that the largest is 100.

Atomic structure:
```
KPmCd10
1.0
4.8770 0.0000 0.0000
0.0000 6.0366 0.0000
0.0000 0.0000 10.3916
K Pm Cd
1 1 10
direct
0.0000 0.0000 0.0000
0.0000 0.5000 0.5000
0.0000 0.0000 0.3356
0.0000 0.0000 0.6644
0.0000 0.5000 0.1698
0.0000 0.5000 0.8302
0.5000 0.0000 0.5000
0.5000 0.2603 0.2665
0.5000 0.2603 0.7335
0.5000 0.5000 0.0000
0.5000 0.7397 0.2665
0.5000 0.7397 0.7335
```

Principal peaks in the range 2θ from 10° to 80°, low angle first:
Position (°2θ)  I (rel.)
17.01  41
34.36  27
34.96  49
35.08  100
36.86  50
39.15  49
39.29  22
56.12  23
65.23  23
74.14  21

No. 2
The following is a calculated powder X-ray diffraction pattern of KPmCdSe3. It was derived from a DFT-relaxed cell (GGA-PBE, Alexandria), using copper Kα.
Intensities are scaled so that the largest is 100.

Atomic structure:
```
KPmCdSe3
1.0
9.0474 0.0000 0.0000
0.0000 4.3370 0.0000
-2.8826 0.0000 9.8764
K Pm Cd Se
2 2 2 6
direct
0.2084 0.2500 0.2269
0.7916 0.7500 0.7731
0.3279 0.7500 0.8621
0.6721 0.2500 0.1379
0.0853 0.2500 0.6086
0.9147 0.7500 0.3914
0.1023 0.2500 0.8675
0.2254 0.7500 0.5393
0.4571 0.7500 0.1532
0.5429 0.2500 0.8468
0.7746 0.2500 0.4607
0.8977 0.7500 0.1325
```

Principal peaks in the range 2θ from 10° to 80°, low angle first:
Position (°2θ)  I (rel.)
11.53  100
27.09  17
28.70  37
29.10  38
31.65  16
33.42  21
36.28  14
41.65  18
42.19  29
45.60  12

No. 3
The following is a calculated powder X-ray diffraction pattern of KPrCd10. It was derived from a DFT-relaxed cell (GGA-PBE, Alexandria), using copper Kα.
Intensities are scaled so that the largest is 100.

Atomic structure:
```
KPrCd10
1.0
4.8718 0.0000 0.0000
0.0000 6.0589 0.0000
0.0000 0.0000 10.4375
K Pr Cd
1 1 10
direct
0.0000 0.0000 0.0000
0.0000 0.5000 0.5000
0.0000 0.0000 0.3335
0.0000 0.0000 0.6665
0.0000 0.5000 0.1679
0.0000 0.5000 0.8321
0.5000 0.0000 0.5000
0.5000 0.2604 0.2663
0.5000 0.2604 0.7337
0.5000 0.5000 0.0000
0.5000 0.7396 0.2663
0.5000 0.7396 0.7337
```

Principal peaks in the range 2θ from 10° to 80°, low angle first:
Position (°2θ)  I (rel.)
16.94  43
34.22  27
34.87  49
34.98  100
36.90  49
39.04  50
39.16  23
55.92  23
61.46  18
73.90  21

No. 4
The following is a calculated powder X-ray diffraction pattern of K2Cd5Pt2. It was derived from a DFT-relaxed cell (GGA-PBE, Alexandria), using copper Kα.
Intensities are scaled so that the largest is 100.

Atomic structure:
```
K2Cd5Pt2
1.0
5.3376 0.0000 0.0000
0.0000 5.3376 0.0000
0.0000 0.0000 8.3784
K Cd Pt
2 5 2
direct
0.0000 0.0000 0.0000
0.0000 0.0000 0.5000
0.0000 0.5000 0.2267
0.0000 0.5000 0.7733
0.5000 0.0000 0.2267
0.5000 0.0000 0.7733
0.5000 0.5000 0.5000
0.5000 0.5000 0.1731
0.5000 0.5000 0.8269
```

Principal peaks in the range 2θ from 10° to 80°, low angle first:
Position (°2θ)  I (rel.)
16.61  86
21.21  31
31.92  38
32.05  25
33.58  100
36.30  37
47.10  34
48.22  35
50.28  29
59.05  28